Simulated X-ray powder pattern of Lu2MgAl for a wavelength of 1.5418 Å, from a PBE-relaxed structure.
Peak positions follow from Bragg's law for the DFT cell and can differ from measured ones.

Cell and atoms:
a = 5.0977 Å, b = 5.0977 Å, c = 5.0977 Å
α = 60.00°, β = 60.00°, γ = 60.00°
Positions (direct):
1 Lu 0.2500 0.2500 0.2500
2 Lu 0.7500 0.7500 0.7500
3 Mg 0.0000 0.0000 0.0000
4 Al 0.5000 0.5000 0.5000

Most intense lines, 2θ = 10–90°, low angle first:
2θ = 24.7°, d = 3.605 Å, intensity 66.3
2θ = 35.2°, d = 2.549 Å, intensity 100.0
2θ = 43.5°, d = 2.081 Å, intensity 20.2
2θ = 50.6°, d = 1.802 Å, intensity 17.9
2θ = 57.1°, d = 1.612 Å, intensity 27.5
2θ = 63.2°, d = 1.472 Å, intensity 36.8
2θ = 74.4°, d = 1.274 Å, intensity 11.4
2θ = 79.8°, d = 1.202 Å, intensity 13.3
2θ = 85.1°, d = 1.140 Å, intensity 16.3

Simulated X-ray powder pattern of LuMg16Al12 for a wavelength of 1.5418 Å, from a PBE-relaxed structure.
Peak positions follow from Bragg's law for the DFT cell and can differ from measured ones.

Cell and atoms:
a = 9.2658 Å, b = 9.2658 Å, c = 9.2658 Å
α = 110.43°, β = 110.43°, γ = 110.43°
Positions (direct):
1 Lu 0.0000 0.0000 0.0000
2 Mg 0.0572 0.0572 0.6547
3 Mg 0.0572 0.6547 0.0572
4 Mg 0.0926 0.7629 0.7629
5 Mg 0.3703 0.6828 0.9780
6 Mg 0.3703 0.9780 0.6828
7 Mg 0.3744 0.3744 0.3744
8 Mg 0.3768 0.3768 0.7168
9 Mg 0.3768 0.7168 0.3768
10 Mg 0.6547 0.0572 0.0572
11 Mg 0.6828 0.3703 0.9780
12 Mg 0.6828 0.9780 0.3703
13 Mg 0.7168 0.3768 0.3768
14 Mg 0.7629 0.0925 0.7629
15 Mg 0.7629 0.7629 0.0926
16 Mg 0.9780 0.3703 0.6828
17 Mg 0.9780 0.6828 0.3703
18 Al 0.0079 0.1861 0.3677
19 Al 0.0079 0.3677 0.1861
20 Al 0.1861 0.0079 0.3677
21 Al 0.1861 0.3677 0.0079
22 Al 0.1975 0.5621 0.5621
23 Al 0.3677 0.0079 0.1861
24 Al 0.3677 0.1861 0.0079
25 Al 0.5621 0.1975 0.5621
26 Al 0.5621 0.5621 0.1975
27 Al 0.5636 0.7429 0.7429
28 Al 0.7429 0.5636 0.7429
29 Al 0.7429 0.7429 0.5636

Most intense lines, 2θ = 10–90°, low angle first:
2θ = 11.6°, d = 7.610 Å, intensity 85.3
2θ = 12.1°, d = 7.329 Å, intensity 53.6
2θ = 16.8°, d = 5.279 Å, intensity 32.8
2θ = 20.5°, d = 4.337 Å, intensity 36.4
2θ = 35.4°, d = 2.537 Å, intensity 57.0
2θ = 35.5°, d = 2.526 Å, intensity 29.2
2θ = 36.0°, d = 2.494 Å, intensity 96.2
2θ = 36.8°, d = 2.443 Å, intensity 100.0
2θ = 39.4°, d = 2.286 Å, intensity 51.1
2θ = 64.4°, d = 1.446 Å, intensity 28.6

Simulated X-ray powder pattern of LuMg16Al12 for a wavelength of 1.5418 Å, from a PBE-relaxed structure.
Peak positions follow from Bragg's law for the DFT cell and can differ from measured ones.

Cell and atoms:
a = 9.1178 Å, b = 9.1178 Å, c = 9.1178 Å
α = 109.47°, β = 109.47°, γ = 109.47°
Positions (direct):
1 Lu 0.0000 0.0000 0.0000
2 Mg 0.0000 0.0000 0.3549
3 Mg 0.0000 0.3188 0.6032
4 Mg 0.0000 0.3549 0.0000
5 Mg 0.0000 0.6032 0.3188
6 Mg 0.2845 0.6812 0.6812
7 Mg 0.3188 0.0000 0.6032
8 Mg 0.3188 0.6032 0.0000
9 Mg 0.3549 0.0000 0.0000
10 Mg 0.3968 0.3968 0.7155
11 Mg 0.3968 0.7155 0.3968
12 Mg 0.6032 0.0000 0.3188
13 Mg 0.6032 0.3188 0.0000
14 Mg 0.6451 0.6451 0.6451
15 Mg 0.6812 0.2845 0.6812
16 Mg 0.6812 0.6812 0.2845
17 Mg 0.7155 0.3968 0.3968
18 Al 0.0000 0.6333 0.8140
19 Al 0.0000 0.8140 0.6333
20 Al 0.1806 0.3667 0.3667
21 Al 0.1860 0.1860 0.8194
22 Al 0.1860 0.8194 0.1860
23 Al 0.3667 0.1806 0.3667
24 Al 0.3667 0.3667 0.1806
25 Al 0.6333 0.0000 0.8140
26 Al 0.6333 0.8140 0.0000
27 Al 0.8140 0.0000 0.6333
28 Al 0.8140 0.6333 0.0000
29 Al 0.8194 0.1860 0.1860

Most intense lines, 2θ = 10–90°, low angle first:
2θ = 11.9°, d = 7.445 Å, intensity 51.6
2θ = 20.7°, d = 4.298 Å, intensity 23.4
2θ = 26.8°, d = 3.329 Å, intensity 14.2
2θ = 31.8°, d = 2.814 Å, intensity 25.1
2θ = 36.2°, d = 2.482 Å, intensity 100.0
2θ = 40.2°, d = 2.245 Å, intensity 20.2
2θ = 42.0°, d = 2.149 Å, intensity 17.2
2θ = 47.3°, d = 1.922 Å, intensity 11.5
2θ = 62.4°, d = 1.489 Å, intensity 14.8
2θ = 65.1°, d = 1.433 Å, intensity 28.9

Simulated X-ray powder pattern of LuMn6Al6 for a wavelength of 1.5418 Å, from a PBE-relaxed structure.
Peak positions follow from Bragg's law for the DFT cell and can differ from measured ones.

Cell and atoms:
a = 6.6085 Å, b = 6.6085 Å, c = 6.6085 Å
α = 136.24°, β = 99.25°, γ = 96.72°
Positions (direct):
1 Lu 0.0000 0.0000 0.0000
2 Mn 0.0000 0.0000 0.5000
3 Mn 0.0000 0.5000 0.0000
4 Mn 0.2346 0.5000 0.7346
5 Mn 0.5000 0.0000 0.0000
6 Mn 0.5000 0.5000 0.5000
7 Mn 0.7654 0.5000 0.2654
8 Al 0.1939 0.6939 0.5000
9 Al 0.3368 0.0000 0.3368
10 Al 0.3464 0.3464 0.0000
11 Al 0.6536 0.6536 0.0000
12 Al 0.6632 0.0000 0.6632
13 Al 0.8061 0.3061 0.5000

Most intense lines, 2θ = 10–90°, low angle first:
2θ = 14.4°, d = 6.130 Å, intensity 67.9
2θ = 20.8°, d = 4.269 Å, intensity 26.3
2θ = 29.2°, d = 3.063 Å, intensity 59.1
2θ = 29.5°, d = 3.032 Å, intensity 56.2
2θ = 41.1°, d = 2.196 Å, intensity 36.5
2θ = 41.6°, d = 2.169 Å, intensity 64.1
2θ = 42.0°, d = 2.150 Å, intensity 100.0
2θ = 42.2°, d = 2.140 Å, intensity 39.9
2θ = 42.3°, d = 2.135 Å, intensity 32.7
2θ = 61.1°, d = 1.516 Å, intensity 27.5

Simulated X-ray powder pattern of LuMn4Al8 for a wavelength of 1.5418 Å, from a PBE-relaxed structure.
Peak positions follow from Bragg's law for the DFT cell and can differ from measured ones.

Cell and atoms:
a = 6.6778 Å, b = 6.6778 Å, c = 6.6778 Å
α = 98.50°, β = 98.50°, γ = 134.78°
Positions (direct):
1 Lu 0.0000 0.0000 0.0000
2 Mn 0.0000 0.0000 0.5000
3 Mn 0.0000 0.5000 0.0000
4 Mn 0.5000 0.0000 0.0000
5 Mn 0.5000 0.5000 0.5000
6 Al 0.0000 0.3351 0.3351
7 Al 0.0000 0.6649 0.6649
8 Al 0.2760 0.5000 0.7760
9 Al 0.3351 0.0000 0.3351
10 Al 0.5000 0.2760 0.7760
11 Al 0.5000 0.7240 0.2240
12 Al 0.6649 0.0000 0.6649
13 Al 0.7240 0.5000 0.2240

Most intense lines, 2θ = 10–90°, low angle first:
2θ = 14.4°, d = 6.165 Å, intensity 62.3
2θ = 20.1°, d = 4.424 Å, intensity 61.0
2θ = 28.8°, d = 3.105 Å, intensity 73.5
2θ = 29.0°, d = 3.082 Å, intensity 41.0
2θ = 32.5°, d = 2.757 Å, intensity 34.3
2θ = 35.5°, d = 2.529 Å, intensity 51.7
2θ = 40.8°, d = 2.212 Å, intensity 100.0
2θ = 41.3°, d = 2.188 Å, intensity 81.9
2θ = 41.4°, d = 2.180 Å, intensity 70.2
2θ = 59.5°, d = 1.553 Å, intensity 37.7

Simulated X-ray powder pattern of Lu3AlN for a wavelength of 1.5418 Å, from a PBE-relaxed structure.
Peak positions follow from Bragg's law for the DFT cell and can differ from measured ones.

Cell and atoms:
a = 4.6373 Å, b = 4.6373 Å, c = 4.6373 Å
α = 90.00°, β = 90.00°, γ = 90.00°
Positions (direct):
1 Lu 0.0000 0.0000 0.5000
2 Lu 0.0000 0.5000 0.0000
3 Lu 0.5000 0.0000 0.0000
4 Al 0.5000 0.5000 0.5000
5 N 0.0000 0.0000 0.0000

Most intense lines, 2θ = 10–90°, low angle first:
2θ = 19.1°, d = 4.637 Å, intensity 27.0
2θ = 27.2°, d = 3.279 Å, intensity 15.4
2θ = 33.5°, d = 2.677 Å, intensity 100.0
2θ = 38.8°, d = 2.319 Å, intensity 55.3
2θ = 43.6°, d = 2.074 Å, intensity 12.9
2θ = 48.1°, d = 1.893 Å, intensity 7.1
2θ = 56.1°, d = 1.640 Å, intensity 38.0
2θ = 59.8°, d = 1.546 Å, intensity 6.2
2θ = 66.9°, d = 1.398 Å, intensity 41.6
2θ = 70.3°, d = 1.339 Å, intensity 12.9

Simulated X-ray powder pattern of Lu3AlNi8 for a wavelength of 1.5418 Å, from a PBE-relaxed structure.
Peak positions follow from Bragg's law for the DFT cell and can differ from measured ones.

Cell and atoms:
a = 4.9668 Å, b = 4.9668 Å, c = 15.8081 Å
α = 90.00°, β = 90.00°, γ = 120.00°
Positions (direct):
1 Lu 0.3333 0.6667 0.0415
2 Lu 0.3333 0.6667 0.2500
3 Lu 0.3333 0.6667 0.4585
4 Lu 0.6667 0.3333 0.5415
5 Lu 0.6667 0.3333 0.7500
6 Lu 0.6667 0.3333 0.9585
7 Al 0.3333 0.6667 0.7500
8 Al 0.6667 0.3333 0.2500
9 Ni 0.0000 0.0000 0.0000
10 Ni 0.0000 0.0000 0.2500
11 Ni 0.0000 0.0000 0.5000
12 Ni 0.0000 0.0000 0.7500
13 Ni 0.1666 0.3332 0.6251
14 Ni 0.1666 0.3332 0.8749
15 Ni 0.1666 0.8334 0.6251
16 Ni 0.1666 0.8334 0.8749
17 Ni 0.3332 0.1666 0.1251
18 Ni 0.3332 0.1666 0.3749
19 Ni 0.6668 0.8334 0.6251
20 Ni 0.6668 0.8334 0.8749
21 Ni 0.8334 0.1666 0.1251
22 Ni 0.8334 0.1666 0.3749
23 Ni 0.8334 0.6668 0.1251
24 Ni 0.8334 0.6668 0.3749

Most intense lines, 2θ = 10–90°, low angle first:
2θ = 21.4°, d = 4.150 Å, intensity 20.8
2θ = 35.2°, d = 2.547 Å, intensity 100.0
2θ = 36.2°, d = 2.483 Å, intensity 56.5
2θ = 42.4°, d = 2.131 Å, intensity 47.6
2θ = 43.0°, d = 2.103 Å, intensity 93.6
2θ = 45.6°, d = 1.991 Å, intensity 20.3
2θ = 64.4°, d = 1.446 Å, intensity 34.5
2θ = 69.0°, d = 1.360 Å, intensity 18.6
2θ = 69.8°, d = 1.348 Å, intensity 21.4
2θ = 76.8°, d = 1.242 Å, intensity 22.7

Simulated X-ray powder pattern of LuAlNi for a wavelength of 1.5418 Å, from a PBE-relaxed structure.
Peak positions follow from Bragg's law for the DFT cell and can differ from measured ones.

Cell and atoms:
a = 6.9151 Å, b = 6.9151 Å, c = 3.7645 Å
α = 90.00°, β = 90.00°, γ = 120.00°
Positions (direct):
1 Lu 0.0000 0.4163 0.0000
2 Lu 0.4163 0.0000 0.0000
3 Lu 0.5837 0.5837 0.0000
4 Al 0.0000 0.7607 0.5000
5 Al 0.2393 0.2393 0.5000
6 Al 0.7607 0.0000 0.5000
7 Ni 0.0000 0.0000 0.0000
8 Ni 0.3333 0.6667 0.5000
9 Ni 0.6667 0.3333 0.5000

Most intense lines, 2θ = 10–90°, low angle first:
2θ = 23.6°, d = 3.765 Å, intensity 30.4
2θ = 25.8°, d = 3.458 Å, intensity 41.2
2θ = 29.8°, d = 2.994 Å, intensity 38.0
2θ = 35.2°, d = 2.546 Å, intensity 100.0
2θ = 38.4°, d = 2.343 Å, intensity 96.8
2θ = 39.8°, d = 2.264 Å, intensity 32.9
2θ = 48.4°, d = 1.882 Å, intensity 20.9
2θ = 55.3°, d = 1.661 Å, intensity 28.0
2θ = 61.0°, d = 1.520 Å, intensity 38.7
2θ = 76.5°, d = 1.245 Å, intensity 21.7

Simulated X-ray powder pattern of LuAl2Ni for a wavelength of 1.5418 Å, from a PBE-relaxed structure.
Peak positions follow from Bragg's law for the DFT cell and can differ from measured ones.

Cell and atoms:
a = 5.3336 Å, b = 5.3336 Å, c = 6.8646 Å
α = 90.00°, β = 90.00°, γ = 135.64°
Positions (direct):
1 Lu 0.0640 0.9360 0.7500
2 Lu 0.9360 0.0640 0.2500
3 Al 0.3488 0.6512 0.5538
4 Al 0.3488 0.6512 0.9462
5 Al 0.6512 0.3488 0.0538
6 Al 0.6512 0.3488 0.4462
7 Ni 0.2150 0.7850 0.2500
8 Ni 0.7850 0.2150 0.7500

Most intense lines, 2θ = 10–90°, low angle first:
2θ = 22.2°, d = 4.009 Å, intensity 24.9
2θ = 23.9°, d = 3.729 Å, intensity 67.4
2θ = 26.0°, d = 3.432 Å, intensity 52.9
2θ = 35.5°, d = 2.525 Å, intensity 96.1
2θ = 37.6°, d = 2.390 Å, intensity 100.0
2θ = 38.8°, d = 2.324 Å, intensity 53.0
2θ = 45.0°, d = 2.013 Å, intensity 26.8
2θ = 53.4°, d = 1.717 Å, intensity 21.3
2θ = 53.8°, d = 1.703 Å, intensity 29.7
2θ = 60.9°, d = 1.522 Å, intensity 27.9